[1]
For La8Ir3Au2, a structure optimized by DFT (GGA-PBE) gives the theoretical X-ray diffraction stick pattern in this record (Cu Ka).
Peak positions follow from Bragg's law for the DFT cell and can differ from measured ones.

Unit cell a=8.6527 b=8.6527 c=13.5931 alpha=90.00 beta=90.00 gamma=120.00
Fractional coordinates of all 26 atoms:
La  0.0000  0.0000  0.0000
La  0.0000  0.0000  0.5000
La  0.0221  0.5110  0.0028
La  0.1554  0.3108  0.2753
La  0.1554  0.8446  0.2753
La  0.3108  0.1554  0.7753
La  0.3333  0.6667  0.7766
La  0.4890  0.5110  0.0028
La  0.4890  0.9779  0.0028
La  0.5110  0.0221  0.5028
La  0.5110  0.4890  0.5028
La  0.6667  0.3333  0.2766
La  0.6892  0.8446  0.2753
La  0.8446  0.1554  0.7753
La  0.8446  0.6892  0.7753
La  0.9779  0.4890  0.5028
Ir  0.1670  0.3339  0.8887
Ir  0.1670  0.8330  0.8887
Ir  0.3339  0.1670  0.3887
Ir  0.6661  0.8330  0.8887
Ir  0.8330  0.1670  0.3887
Ir  0.8330  0.6661  0.3887
Au  0.3333  0.6667  0.1545
Au  0.3333  0.6667  0.3904
Au  0.6667  0.3333  0.6545
Au  0.6667  0.3333  0.8904

Main lines, in order of falling intensity (2θ = 10–80°):
- 31.0 deg, I = 100, (2 0 3)
- 27.2 deg, I = 97, (2 0 2)
- 41.8 deg, I = 85, (2 2 0)
- 41.0 deg, I = 66, (2 0 5)
- 13.0 deg, I = 65, (0 0 2)
- 35.7 deg, I = 37, (2 0 4)
- 70.5 deg, I = 28, (2 2 8)
- 13.5 deg, I = 22, (1 0 1)
- 52.9 deg, I = 22, (4 0 3)
- 60.0 deg, I = 21, (4 0 5)

***

[2]
For Na2Li2Ca, a structure optimized by DFT (GGA-PBE) gives the theoretical X-ray diffraction stick pattern in this record (Cu Ka).
Peak positions follow from Bragg's law for the DFT cell and can differ from measured ones.

Unit cell a=9.2612 b=9.2612 c=3.6417 alpha=90.00 beta=90.00 gamma=90.00
Fractional coordinates of all 10 atoms:
Na  0.1261  0.3739  0.0000
Na  0.3739  0.8739  0.0000
Na  0.6261  0.1261  0.0000
Na  0.8739  0.6261  0.0000
Li  0.1751  0.6751  0.5000
Li  0.3249  0.1751  0.5000
Li  0.6751  0.8249  0.5000
Li  0.8249  0.3249  0.5000
Ca  0.0000  0.0000  0.0000
Ca  0.5000  0.5000  0.0000

Main lines, in order of falling intensity (2θ = 10–80°):
- 30.5 deg, I = 100, (3 1 0)
- 39.5 deg, I = 72, (3 1 1)
- 24.4 deg, I = 57, (0 0 1)
- 32.7 deg, I = 57, (2 1 1)
- 31.2 deg, I = 41, (2 0 1)
- 19.2 deg, I = 41, (2 0 0)
- 21.5 deg, I = 35, (2 1 0)
- 27.2 deg, I = 28, (2 2 0)
- 56.6 deg, I = 28, (5 1 1)
- 59.8 deg, I = 25, (3 1 2)

***

What did the second record say?
For Na2Li2Ca, a structure optimized by DFT (GGA-PBE) gives the theoretical X-ray diffraction stick pattern in this record (Cu Ka).
Peak positions follow from Bragg's law for the DFT cell and can differ from measured ones.

Unit cell a=9.2612 b=9.2612 c=3.6417 alpha=90.00 beta=90.00 gamma=90.00
Fractional coordinates of all 10 atoms:
Na  0.1261  0.3739  0.0000
Na  0.3739  0.8739  0.0000
Na  0.6261  0.1261  0.0000
Na  0.8739  0.6261  0.0000
Li  0.1751  0.6751  0.5000
Li  0.3249  0.1751  0.5000
Li  0.6751  0.8249  0.5000
Li  0.8249  0.3249  0.5000
Ca  0.0000  0.0000  0.0000
Ca  0.5000  0.5000  0.0000

Main lines, in order of falling intensity (2θ = 10–80°):
- 30.5 deg, I = 100, (3 1 0)
- 39.5 deg, I = 72, (3 1 1)
- 24.4 deg, I = 57, (0 0 1)
- 32.7 deg, I = 57, (2 1 1)
- 31.2 deg, I = 41, (2 0 1)
- 19.2 deg, I = 41, (2 0 0)
- 21.5 deg, I = 35, (2 1 0)
- 27.2 deg, I = 28, (2 2 0)
- 56.6 deg, I = 28, (5 1 1)
- 59.8 deg, I = 25, (3 1 2)

***

Which formula does entry 2 have? Na2Li2Ca